# AcAl2BOs2
Computed powder X-ray diffraction pattern, Cu Ka. Input: DFT lattice parameters and positions (GGA-PBE).
Intensities are scaled so that the largest is 1000.

Structural model:
Cell: 4.272 4.272 5.801 Å, 90.00 90.00 90.00°
Space group P4/mmm (No. 123)
Unique sites:
Ac  0.000  0.000  0.000
Al  0.500  0.500  0.248
B  0.000  0.000  0.500
Os  0.000  0.500  0.500

Top 10 peaks for 2θ = 10–80°, sorted by position:
Position (°2θ), I/Imax
15.27, 129
20.79, 141
25.90, 246
30.83, 269
33.44, 1000
37.48, 172
42.31, 330
53.26, 239
56.51, 229
71.73, 229

# CuGeAu2O8
Computed powder X-ray diffraction pattern, Cu Ka. Input: DFT lattice parameters and positions (GGA-PBE).
Intensities are scaled so that the largest is 1000.

Structural model:
Cell: 6.217 6.217 7.212 Å, 90.00 90.00 90.00°
Space group I-4m2 (No. 119)
Unique sites:
Cu  0.000  0.000  0.000
Ge  0.000  0.500  0.250
Au  0.000  0.000  0.500
Au  0.000  0.500  0.750
O  0.000  0.199  0.281
O  0.000  0.309  0.979

Top 10 peaks for 2θ = 10–80°, sorted by position:
Position (°2θ), I/Imax
18.84, 334
28.72, 837
32.10, 1000
34.57, 341
41.06, 205
53.05, 637
59.24, 214
59.47, 127
67.36, 126
69.20, 171